Record 1
Diffraction record for LiNdSc2Pt4. The powder X-ray diffraction pattern is theoretical, not measured: it uses a GGA-PBE-relaxed structure and copper Kα.
Kinematic intensities with the Lorentz-polarization factor, no thermal factor.

Top 10 peaks for 15 to 90 degrees two-theta, low angle first:
2θ (°)	Rel. int.	index
26.63	62	1 0 4
28.66	24	0 1 5
33.52	35	1 0 7
36.26	71	0 1 8
39.70	100	1 1 0
45.39	19	0 1 11
54.85	22	2 0 8
68.98	23	1 1 15
69.81	21	1 2 8
72.04	17	3 0 0

Structural model:
```
data_LiNdSc2Pt4
_symmetry_space_group_name_H-M 'R -3 m'
_symmetry_Int_Tables_number 166
_symmetry_space_group_name_Hall '-R 3 2"'
_cell_length_a 4.5410
_cell_length_b 4.5410
_cell_length_c 25.5194
_cell_angle_alpha 90.00
_cell_angle_beta 90.00
_cell_angle_gamma 120.00
loop_
_atom_site_label
_atom_site_fract_x
_atom_site_fract_y
_atom_site_fract_z
Li1 0.0000 0.0000 0.0000
Nd1 0.0000 0.0000 0.5000
Sc1 0.0000 0.0000 0.2651
Pt1 0.0000 0.0000 0.1021
Pt2 0.0000 0.0000 0.3721
```


Record 2
Diffraction record for LiNdZn2Pt2. The powder X-ray diffraction pattern is theoretical, not measured: it uses a GGA-PBE-relaxed structure and copper Kα.
Kinematic intensities with the Lorentz-polarization factor, no thermal factor.

Top 10 peaks for 15 to 90 degrees two-theta, low angle first:
2θ (°)	Rel. int.	index
26.44	17	0 0 2
27.05	100	1 0 1
35.69	75	1 0 2
41.38	83	1 1 0
47.05	23	1 0 3
49.78	18	1 1 2
50.13	19	0 2 1
55.77	21	0 2 2
59.00	24	1 1 3
71.76	20	2 1 2

Structural model:
```
data_LiNdZn2Pt2
_symmetry_space_group_name_H-M 'P -3 m 1'
_symmetry_Int_Tables_number 164
_symmetry_space_group_name_Hall '-P 3 2"'
_cell_length_a 4.3644
_cell_length_b 4.3644
_cell_length_c 6.7414
_cell_angle_alpha 90.00
_cell_angle_beta 90.00
_cell_angle_gamma 120.00
loop_
_atom_site_label
_atom_site_fract_x
_atom_site_fract_y
_atom_site_fract_z
Li1 0.0000 0.0000 0.0000
Nd1 0.0000 0.0000 0.5000
Zn1 0.3333 0.6667 0.8332
Pt1 0.3333 0.6667 0.2278
```


Record 3
Diffraction record for LiNd4Pu3S8. The powder X-ray diffraction pattern is theoretical, not measured: it uses a GGA-PBE-relaxed structure and copper Kα.
Kinematic intensities with the Lorentz-polarization factor, no thermal factor.

Top 10 peaks for 15 to 90 degrees two-theta, low angle first:
2θ (°)	Rel. int.	index
26.08	11	0 1 5
27.26	82	0 0 6
31.58	100	0 2 4
45.27	73	2 2 0
53.65	42	0 2 10
56.24	26	4 0 4
65.95	12	0 4 8
72.75	17	2 0 14
74.96	33	2 4 4
83.61	25	6 0 0

Structural model:
```
data_LiNd4Pu3S8
_symmetry_space_group_name_H-M 'R -3 m'
_symmetry_Int_Tables_number 166
_symmetry_space_group_name_Hall '-R 3 2"'
_cell_length_a 8.0144
_cell_length_b 8.0144
_cell_length_c 19.6185
_cell_angle_alpha 90.00
_cell_angle_beta 90.00
_cell_angle_gamma 120.00
loop_
_atom_site_label
_atom_site_fract_x
_atom_site_fract_y
_atom_site_fract_z
Li1 0.0000 0.0000 0.0000
Nd1 0.0000 0.0000 0.5000
Nd2 0.0000 0.5000 0.5000
Pu1 0.0000 0.5000 0.0000
S1 0.0000 0.0000 0.2537
S2 0.0033 0.5017 0.7463
```


Record 4
Diffraction record for LiNd2Pu3Te6. The powder X-ray diffraction pattern is theoretical, not measured: it uses a GGA-PBE-relaxed structure and copper Kα.
Kinematic intensities with the Lorentz-polarization factor, no thermal factor.

Top 10 peaks for 15 to 90 degrees two-theta, low angle first:
2θ (°)	Rel. int.	index
23.45	8	4 0 1
28.37	100	6 0 0
40.56	77	0 2 0
50.24	28	6 2 0
58.70	13	2 2 -4
66.44	24	8 2 -4
66.51	12	1 3 -2
73.72	11	9 1 -6
73.83	15	7 3 -2
87.80	7	0 4 0

Structural model:
```
data_LiNd2Pu3Te6
_symmetry_space_group_name_H-M 'C 1 2/m 1'
_symmetry_Int_Tables_number 12
_cell_length_a 19.375
_cell_length_b 4.446
_cell_length_c 8.908
_cell_angle_alpha 90.00
_cell_angle_beta 103.23
_cell_angle_gamma 90.00
loop_
_symmetry_equiv_pos_as_xyz
'x,y,z'
'-x,-y,-z'
'-x,y,-z'
'x,-y,z'
'x+1/2,y+1/2,z'
'-x+1/2,-y+1/2,-z'
'-x+1/2,y+1/2,-z'
'x+1/2,-y+1/2,z'
loop_
_atom_site_label
_atom_site_fract_x
_atom_site_fract_y
_atom_site_fract_z
Li1 0.000 0.000 0.000
Nd1 0.165 0.500 0.334
Pu1 0.000 0.000 0.500
Pu2 0.168 0.500 0.836
Te1 0.002 0.500 0.757
Te2 0.163 0.000 0.080
Te3 0.166 0.000 0.589
```


Repeat the third record exactly.
Diffraction record for LiNd4Pu3S8. The powder X-ray diffraction pattern is theoretical, not measured: it uses a GGA-PBE-relaxed structure and copper Kα.
Kinematic intensities with the Lorentz-polarization factor, no thermal factor.

Top 10 peaks for 15 to 90 degrees two-theta, low angle first:
2θ (°)	Rel. int.	index
26.08	11	0 1 5
27.26	82	0 0 6
31.58	100	0 2 4
45.27	73	2 2 0
53.65	42	0 2 10
56.24	26	4 0 4
65.95	12	0 4 8
72.75	17	2 0 14
74.96	33	2 4 4
83.61	25	6 0 0

Structural model:
```
data_LiNd4Pu3S8
_symmetry_space_group_name_H-M 'R -3 m'
_symmetry_Int_Tables_number 166
_symmetry_space_group_name_Hall '-R 3 2"'
_cell_length_a 8.0144
_cell_length_b 8.0144
_cell_length_c 19.6185
_cell_angle_alpha 90.00
_cell_angle_beta 90.00
_cell_angle_gamma 120.00
loop_
_atom_site_label
_atom_site_fract_x
_atom_site_fract_y
_atom_site_fract_z
Li1 0.0000 0.0000 0.0000
Nd1 0.0000 0.0000 0.5000
Nd2 0.0000 0.5000 0.5000
Pu1 0.0000 0.5000 0.0000
S1 0.0000 0.0000 0.2537
S2 0.0033 0.5017 0.7463
```


What is the formula in the first record?
LiNdSc2Pt4


What did the second record say?
Diffraction record for LiNdZn2Pt2. The powder X-ray diffraction pattern is theoretical, not measured: it uses a GGA-PBE-relaxed structure and copper Kα.
Kinematic intensities with the Lorentz-polarization factor, no thermal factor.

Top 10 peaks for 15 to 90 degrees two-theta, low angle first:
2θ (°)	Rel. int.	index
26.44	17	0 0 2
27.05	100	1 0 1
35.69	75	1 0 2
41.38	83	1 1 0
47.05	23	1 0 3
49.78	18	1 1 2
50.13	19	0 2 1
55.77	21	0 2 2
59.00	24	1 1 3
71.76	20	2 1 2

Structural model:
```
data_LiNdZn2Pt2
_symmetry_space_group_name_H-M 'P -3 m 1'
_symmetry_Int_Tables_number 164
_symmetry_space_group_name_Hall '-P 3 2"'
_cell_length_a 4.3644
_cell_length_b 4.3644
_cell_length_c 6.7414
_cell_angle_alpha 90.00
_cell_angle_beta 90.00
_cell_angle_gamma 120.00
loop_
_atom_site_label
_atom_site_fract_x
_atom_site_fract_y
_atom_site_fract_z
Li1 0.0000 0.0000 0.0000
Nd1 0.0000 0.0000 0.5000
Zn1 0.3333 0.6667 0.8332
Pt1 0.3333 0.6667 0.2278
```